Simulated X-ray diffraction stick pattern of Mg5Si9 for Cu Kα (λ = 1.5418 Å), from a crystal structure in the Materials Project, relaxed with PBE.

The 12 most intense peaks (10° ≤ 2θ ≤ 90°), most intense first:
two_theta  intensity  index
40.7  100  -2 1 1
35.5  83  2 2 2
35.0  76  1 1 -4
37.9  71  0 2 4
36.5  69  2 2 -1
35.7  68  0 2 -3
34.7  68  2 1 3
36.7  59  0 1 5
38.5  57  0 1 -5
38.7  52  2 1 4
43.3  41  0 2 5
39.0  37  1 3 0

Cell and atoms:
```
data_Mg5Si9
_chemical_formula_sum 'Mg10 Si18'
_symmetry_space_group_name_H-M 'P 1'
_symmetry_Int_Tables_number 1
_cell_length_a 5.9106
_cell_length_b 6.9889
_cell_length_c 13.0064
_cell_angle_alpha 83.69
_cell_angle_beta 82.19
_cell_angle_gamma 69.44
loop_
_symmetry_equiv_pos_as_xyz
'x,y,z'
loop_
_atom_site_label
_atom_site_type_symbol
_atom_site_fract_x
_atom_site_fract_y
_atom_site_fract_z
_atom_site_occupancy
Mg1 Mg 0.0000 0.0000 0.0000 1
Mg2 Mg 0.0181 0.3159 0.1343 1
Mg3 Mg 0.0975 0.5407 0.3776 1
Mg4 Mg 0.2727 0.8844 0.2419 1
Mg5 Mg 0.3086 0.7176 0.8238 1
Mg6 Mg 0.4931 0.3570 0.1988 1
Mg7 Mg 0.6113 0.3105 0.5213 1
Mg8 Mg 0.6571 0.9278 0.8590 1
Mg9 Mg 0.7488 0.9106 0.2521 1
Mg10 Mg 0.9393 0.9657 0.6544 1
Si1 Si 0.0990 0.1707 0.8046 1
Si2 Si 0.1024 0.6598 0.1327 1
Si3 Si 0.1333 0.2687 0.5659 1
Si4 Si 0.2086 0.5409 0.6484 1
Si5 Si 0.3312 0.3058 0.9105 1
Si6 Si 0.3381 0.7646 0.4898 1
Si7 Si 0.3475 0.1181 0.3953 1
Si8 Si 0.4202 0.9989 0.6659 1
Si9 Si 0.4508 0.7242 0.0381 1
Si10 Si 0.4767 0.0555 0.0649 1
Si11 Si 0.5767 0.3321 0.7403 1
Si12 Si 0.6200 0.5652 0.3391 1
Si13 Si 0.7169 0.4085 0.9762 1
Si14 Si 0.7172 0.6752 0.5739 1
Si15 Si 0.8214 0.5465 0.7623 1
Si16 Si 0.8956 0.9144 0.4537 1
Si17 Si 0.9284 0.2189 0.3367 1
Si18 Si 0.9859 0.6045 0.9653 1
```

=====

Simulated X-ray diffraction stick pattern of Al3P for Cu Kα (λ = 1.5418 Å), from a crystal structure in the Materials Project, relaxed with PBE.

The 11 most intense peaks (10° ≤ 2θ ≤ 90°), most intense first:
two_theta  intensity  index
41.7  100  2 0 1
37.8  30  0 0 2
37.0  24  2 0 0
70.9  20  2 0 3
79.2  20  2 2 2
66.6  16  2 2 0
53.9  15  2 0 2
81.8  14  4 0 1
80.7  3  0 0 4
78.7  3  4 0 0
18.2  1  1 0 0

Cell and atoms:
```
data_Al3P
_chemical_formula_sum 'Al6 P2'
_symmetry_space_group_name_H-M 'P 63/m m c'
_symmetry_Int_Tables_number 194
_symmetry_space_group_name_Hall '-P 6c 2c'
_cell_length_a 5.6152
_cell_length_b 5.6152
_cell_length_c 4.7615
_cell_angle_alpha 90.00
_cell_angle_beta 90.00
_cell_angle_gamma 120.00
loop_
_atom_site_label
_atom_site_type_symbol
_atom_site_fract_x
_atom_site_fract_y
_atom_site_fract_z
_atom_site_occupancy
Al1 Al 0.1688 0.3376 0.2500 1
P1 P 0.3333 0.6667 0.7500 1
```

=====

Simulated X-ray diffraction stick pattern of Eu3Au2 for Cu Kα (λ = 1.5418 Å), from a crystal structure in the Materials Project, relaxed with PBE.

The 12 most intense peaks (10° ≤ 2θ ≤ 90°), most intense first:
two_theta  intensity  index
35.2  100  2 -1 6
30.7  71  3 -2 2
29.5  59  0 0 6
33.0  51  3 0 0
64.6  26  2 -1 12
49.9  24  3 -2 8
44.8  18  1 3 4
11.9  16  1 0 1
61.1  16  6 -2 2
51.5  15  1 0 10
41.2  15  3 1 2
63.9  12  2 4 4

Cell and atoms:
```
data_Eu3Au2
_chemical_formula_sum 'Eu27 Au18'
_symmetry_space_group_name_H-M 'R -3'
_symmetry_Int_Tables_number 148
_symmetry_space_group_name_Hall '-R 3'
_cell_length_a 9.3989
_cell_length_b 9.3989
_cell_length_c 18.1794
_cell_angle_alpha 90.00
_cell_angle_beta 90.00
_cell_angle_gamma 120.00
loop_
_atom_site_label
_atom_site_type_symbol
_atom_site_fract_x
_atom_site_fract_y
_atom_site_fract_z
_atom_site_occupancy
Eu1 Eu 0.0000 0.0000 0.0000 1
Eu2 Eu 0.0000 0.0000 0.2021 1
Eu3 Eu 0.0064 0.7526 0.5933 1
Au1 Au 0.0224 0.4104 0.5689 1
```